For Mg16Al12Ga, the GGA-PBE geometry in the Materials Project gives the simulated powder diffractogram in this record (Cu Kα X-rays).
Intensities are scaled so that the largest is 100.

Main lines, low angle first (2θ from 15° to 90°):
d_spacing  Position (°2θ)  I_rel
2.628  34.12  14
2.484  36.17  100
2.475  36.30  82
2.466  36.43  32
2.250  40.07  11
2.242  40.22  27
2.227  40.51  16
2.064  43.87  12
1.434  65.05  15
1.428  65.36  12

Structure:
a = 9.110 Å, b = 9.110 Å, c = 9.042 Å
α = 109.23°, β = 109.23°, γ = 109.59°
Sites, in units of the cell vectors:
Mg (0.000, 0.000, 0.000)
Mg (0.001, 0.349, 0.999)
Mg (0.003, 0.319, 0.603)
Mg (0.004, 0.004, 0.350)
Mg (0.004, 0.601, 0.320)
Mg (0.294, 0.683, 0.689)
Mg (0.319, 0.003, 0.603)
Mg (0.324, 0.600, 0.000)
Mg (0.349, 0.001, 0.999)
Mg (0.403, 0.716, 0.402)
Mg (0.600, 0.324, 0.000)
Mg (0.601, 0.004, 0.320)
Mg (0.648, 0.648, 0.665)
Mg (0.683, 0.294, 0.689)
Mg (0.689, 0.689, 0.292)
Mg (0.716, 0.403, 0.402)
Al (0.003, 0.818, 0.637)
Al (0.006, 0.636, 0.820)
Al (0.183, 0.368, 0.367)
Al (0.186, 0.186, 0.815)
Al (0.192, 0.822, 0.188)
Al (0.367, 0.367, 0.180)
Al (0.368, 0.183, 0.367)
Al (0.636, 0.006, 0.820)
Al (0.641, 0.824, 0.010)
Al (0.818, 0.003, 0.637)
Al (0.822, 0.192, 0.188)
Al (0.824, 0.641, 0.010)
Ga (0.381, 0.381, 0.698)

---

For Ce4CdRu, the GGA-PBE geometry in the Materials Project gives the simulated powder diffractogram in this record (Cu Kα X-rays).
Intensities are scaled so that the largest is 100.

Main lines, low angle first (2θ from 15° to 90°):
d_spacing  Position (°2θ)  I_rel
3.155  28.29  26
2.807  31.88  55
2.647  33.87  100
2.431  36.97  36
1.680  54.62  11
1.621  56.80  48
1.588  58.08  14
1.382  67.80  15
1.134  85.63  14
1.116  87.43  13

Structure:
a = 9.725 Å, b = 9.725 Å, c = 9.725 Å
α = 60.00°, β = 60.00°, γ = 60.00°
Sites, in units of the cell vectors:
Ce (0.042, 0.653, 0.653)
Ce (0.060, 0.060, 0.440)
Ce (0.060, 0.440, 0.060)
Ce (0.060, 0.440, 0.440)
Ce (0.190, 0.190, 0.810)
Ce (0.190, 0.810, 0.190)
Ce (0.190, 0.810, 0.810)
Ce (0.440, 0.060, 0.060)
Ce (0.440, 0.060, 0.440)
Ce (0.440, 0.440, 0.060)
Ce (0.653, 0.042, 0.653)
Ce (0.653, 0.653, 0.042)
Ce (0.653, 0.653, 0.653)
Ce (0.810, 0.190, 0.190)
Ce (0.810, 0.190, 0.810)
Ce (0.810, 0.810, 0.190)
Cd (0.421, 0.421, 0.421)
Cd (0.421, 0.421, 0.737)
Cd (0.421, 0.737, 0.421)
Cd (0.737, 0.421, 0.421)
Ru (0.409, 0.864, 0.864)
Ru (0.864, 0.409, 0.864)
Ru (0.864, 0.864, 0.409)
Ru (0.864, 0.864, 0.864)

---

For OsPtCl2, the GGA-PBE geometry in the Materials Project gives the simulated powder diffractogram in this record (Cu Kα X-rays).
Intensities are scaled so that the largest is 100.

Main lines, low angle first (2θ from 15° to 90°):
d_spacing  Position (°2θ)  I_rel
3.703  24.03  56
2.267  39.75  100
1.934  46.99  30
1.603  57.48  17
1.471  63.20  13
1.309  72.16  34
1.234  77.31  10
1.134  85.69  11

Structure:
a = 6.413 Å, b = 6.413 Å, c = 6.413 Å
α = 90.00°, β = 90.00°, γ = 90.00°
Sites, in units of the cell vectors:
Os (0.000, 0.000, 0.000)
Os (0.000, 0.500, 0.500)
Os (0.500, 0.000, 0.500)
Os (0.500, 0.500, 0.000)
Pt (0.250, 0.250, 0.750)
Pt (0.250, 0.750, 0.250)
Pt (0.750, 0.250, 0.250)
Pt (0.750, 0.750, 0.750)
Cl (0.000, 0.000, 0.500)
Cl (0.000, 0.500, 0.000)
Cl (0.250, 0.250, 0.250)
Cl (0.250, 0.750, 0.750)
Cl (0.500, 0.000, 0.000)
Cl (0.500, 0.500, 0.500)
Cl (0.750, 0.250, 0.750)
Cl (0.750, 0.750, 0.250)